No. 1
Structure and theoretical PXRD pattern of Er2TmHg5 (a DFT-relaxed cell (PBE, OQMD); CuKα).
Intensities are scaled so that the largest is 100.

Main lines, low angle first (2θ from 10° to 90°):
2θ/deg, intensity
34.31, 23
35.00, 100
35.22, 27
49.99, 16
50.68, 9
61.89, 13
62.64, 7
63.06, 19
63.22, 9
73.94, 9

```
Er2TmHg5
1.0
5.097 0.000 0.000
0.000 3.602 5.227
0.000 -3.602 5.227
Er Tm Hg
2 1 5
Cartesian
0.000 0.000 0.000
2.548 0.000 3.105
2.548 0.000 7.792
0.000 0.000 5.191
0.000 -1.794 7.803
0.000 1.794 7.803
2.548 -1.991 5.483
2.548 1.991 5.483
```



No. 2
Structure and theoretical PXRD pattern of NdScCN2O2 (a DFT-relaxed cell (PBE, OQMD); CuKα).
Intensities are scaled so that the largest is 100.

Main lines, low angle first (2θ from 10° to 90°):
2θ/deg, intensity
10.93, 88
21.96, 22
27.95, 28
30.09, 100
33.20, 16
35.82, 43
43.93, 32
49.45, 29
53.62, 23
60.87, 16

```
NdScCN2O2
1.0
3.686 0.000 0.000
-1.843 3.192 0.000
0.000 0.000 8.096
Nd Sc C N O
1 1 1 2 2
Cartesian
0.000 0.000 0.000
1.843 1.064 5.246
0.000 2.128 2.691
0.000 2.128 1.448
0.000 2.128 3.920
0.000 0.000 5.690
1.843 1.064 7.320
```



No. 3
Structure and theoretical PXRD pattern of Cu4I5 (a DFT-relaxed cell (PBE, OQMD); CuKα).
Intensities are scaled so that the largest is 100.

Main lines, low angle first (2θ from 10° to 90°):
2θ/deg, intensity
25.91, 100
29.96, 9
42.94, 65
50.79, 30
50.93, 15
62.26, 7
68.72, 12
78.63, 14
78.81, 7
84.40, 7

```
Cu4I5
1.0
-4.715 4.715 2.971
4.715 -4.715 2.971
4.715 4.715 -2.971
Cu I
4 5
Cartesian
3.759 2.797 -1.449
0.956 1.918 1.522
1.918 -0.956 4.421
2.797 5.671 1.449
0.000 0.000 0.000
5.640 1.835 0.039
1.835 3.791 -0.039
2.880 0.924 2.932
-0.924 2.880 3.010
```



No. 4
Structure and theoretical PXRD pattern of Tl2AgAuF6 (a DFT-relaxed cell (PBE, OQMD); CuKα).
Intensities are scaled so that the largest is 100.

Main lines, low angle first (2θ from 10° to 90°):
2θ/deg, intensity
17.79, 3
29.25, 100
34.45, 2
36.03, 4
41.85, 29
51.87, 42
60.67, 19
68.76, 18
76.42, 6
83.84, 22

```
Tl2AgAuF6
1.0
0.000 4.317 4.317
4.317 0.000 4.317
4.317 4.317 0.000
Tl Ag Au F
2 1 1 6
Cartesian
2.159 2.159 2.159
6.476 6.476 6.476
0.000 0.000 0.000
4.317 4.317 4.317
4.317 4.317 2.156
4.317 2.156 4.317
6.479 4.317 4.317
2.156 4.317 4.317
4.317 6.479 4.317
4.317 4.317 6.479
```



No. 5
Structure and theoretical PXRD pattern of RbTcTe3Au (a DFT-relaxed cell (PBE, OQMD); CuKα).
Intensities are scaled so that the largest is 100.

Main lines, low angle first (2θ from 10° to 90°):
2θ/deg, intensity
10.65, 100
28.75, 80
32.18, 38
33.09, 46
37.28, 22
38.98, 20
45.36, 21
46.88, 24
50.70, 26
57.29, 19

```
RbTcTe3Au
1.0
1.999 -8.305 0.000
1.999 8.305 0.000
0.000 0.000 10.828
Rb Tc Te Au
2 2 6 2
Cartesian
1.999 4.361 8.121
1.999 -4.361 2.707
0.000 0.000 0.000
0.000 0.000 5.414
1.999 7.253 2.707
1.999 1.925 0.227
1.999 1.925 5.187
1.999 -1.925 5.641
1.999 -1.925 10.602
1.999 -7.253 8.121
1.999 0.903 2.707
1.999 -0.903 8.121
```



No. 6
Structure and theoretical PXRD pattern of Cu4WS4Cl4 (a DFT-relaxed cell (PBE, OQMD); CuKα).
Intensities are scaled so that the largest is 100.

Main lines, low angle first (2θ from 10° to 90°):
2θ/deg, intensity
13.49, 100
21.40, 36
25.05, 54
32.41, 14
34.84, 18
35.24, 14
41.25, 31
41.60, 84
50.40, 40
56.03, 15

```
Cu4WS4Cl4
1.0
-6.565 6.565 3.046
6.565 -6.565 3.046
6.565 6.565 -3.046
Cu W S Cl
8 2 8 8
Cartesian
4.700 0.000 0.000
8.430 0.000 0.000
0.000 4.700 0.000
4.721 4.721 0.000
1.844 -1.844 3.046
-1.844 1.844 3.046
1.844 1.844 3.046
0.000 8.430 0.000
0.000 0.000 0.000
0.000 0.000 3.046
6.565 4.520 -1.534
4.520 6.565 -1.534
2.045 0.000 1.512
0.000 2.045 1.512
6.565 4.520 1.534
4.520 6.565 1.534
2.045 0.000 4.579
0.000 2.045 4.579
4.830 -1.735 1.523
8.300 -1.735 1.523
4.830 1.735 1.523
8.300 1.735 1.523
-1.735 4.830 1.523
1.735 4.830 1.523
-1.735 8.300 1.523
1.735 8.300 1.523
```



No. 7
Structure and theoretical PXRD pattern of KMgGe2Ir (a DFT-relaxed cell (PBE, OQMD); CuKα).
Intensities are scaled so that the largest is 100.

Main lines, low angle first (2θ from 10° to 90°):
2θ/deg, intensity
14.89, 62
22.21, 100
30.83, 71
33.40, 76
42.53, 50
42.77, 64
43.58, 27
48.49, 26
53.45, 30
62.50, 26

```
KMgGe2Ir
1.0
-2.125 2.125 5.950
2.125 -2.125 5.950
2.125 2.125 -5.950
K Mg Ge Ir
1 1 2 1
Cartesian
0.000 0.000 0.000
0.000 2.125 2.975
0.000 0.000 4.454
0.000 0.000 7.445
2.125 0.000 2.975
```



No. 8
Structure and theoretical PXRD pattern of OsClF8 (a DFT-relaxed cell (PBE, OQMD); CuKα).
Intensities are scaled so that the largest is 100.

Main lines, low angle first (2θ from 10° to 90°):
2θ/deg, intensity
16.67, 46
18.07, 82
19.94, 62
21.30, 63
21.63, 50
24.68, 100
26.11, 99
26.49, 64
27.58, 54
36.57, 42

```
OsClF8
1.0
14.056 0.000 0.000
0.000 5.317 0.000
-3.064 0.000 9.335
Os Cl F
6 6 48
Cartesian
-0.766 0.531 2.334
-2.298 4.786 7.001
1.940 0.568 8.420
3.472 4.749 3.752
7.520 0.568 5.583
9.052 4.749 0.916
2.086 2.653 0.885
0.554 2.664 5.552
4.730 2.232 7.001
6.262 3.085 2.334
10.438 2.653 3.783
8.905 2.664 8.450
-0.287 0.546 4.162
-1.819 4.771 8.830
0.444 2.001 1.979
-1.088 3.316 6.646
-1.008 0.761 6.643
0.524 4.556 1.975
-1.609 2.068 8.848
-0.077 3.249 4.181
2.564 0.704 2.713
1.032 4.613 7.380
1.914 2.059 4.913
3.446 3.258 0.245
1.109 2.038 7.475
2.641 3.279 2.808
3.607 0.553 0.332
2.075 4.764 4.999
3.343 0.614 7.069
4.875 4.703 2.401
5.055 1.998 2.402
3.523 3.319 7.070
4.348 0.778 4.692
5.880 4.539 0.024
5.926 1.917 0.014
4.394 3.400 4.681
6.598 1.917 4.654
5.066 3.400 9.322
5.111 0.778 9.311
6.644 4.539 4.643
7.469 1.998 2.265
5.937 3.319 6.933
6.117 0.614 6.934
7.649 4.703 2.266
8.917 0.553 4.336
7.385 4.764 9.004
8.351 2.038 6.528
9.883 3.279 1.860
7.546 2.059 9.090
9.078 3.258 4.422
9.960 0.704 1.955
8.428 4.613 6.622
11.069 2.068 5.154
12.601 3.249 0.487
10.468 0.761 7.360
12.000 4.556 2.692
12.080 2.001 2.689
10.548 3.316 7.357
12.811 0.546 0.506
11.279 4.771 5.173
```